Record 1
The following is a calculated powder diffraction line list of Tl3Ga. It was derived from a structure optimized by DFT (PBE), using λ = 1.5418 Å (Cu Kα).

Cell and atoms:
Lattice parameters (Å, degrees): 6.1951 6.1951 6.1951 136.14 136.14 63.76
Atoms (fractional coordinates):
Tl 0.0000 0.0000 0.0000
Tl 0.2500 0.7500 0.5000
Tl 0.7500 0.2500 0.5000
Ga 0.5000 0.5000 0.0000

The 12 most intense peaks (5 to 70 degrees two-theta), by angle:
16.9 deg, d = 5.261 Å, I = 4.1
21.0 deg, d = 4.236 Å, I = 9.9
32.0 deg, d = 2.795 Å, I = 3.5
32.2 deg, d = 2.778 Å, I = 100.0
34.1 deg, d = 2.630 Å, I = 21.6
38.9 deg, d = 2.314 Å, I = 30.2
44.6 deg, d = 2.030 Å, I = 2.9
52.7 deg, d = 1.737 Å, I = 25.5
56.2 deg, d = 1.636 Å, I = 10.5
59.8 deg, d = 1.546 Å, I = 17.4
66.3 deg, d = 1.410 Å, I = 25.6
67.4 deg, d = 1.389 Å, I = 12.2

Record 2
The following is a calculated powder diffraction line list of Ni2SnAs. It was derived from a structure optimized by DFT (PBE), using λ = 1.5418 Å (Cu Kα).

Cell and atoms:
Lattice parameters (Å, degrees): 7.4720 6.6456 5.1098 90.00 90.00 90.00
Atoms (fractional coordinates):
Ni 0.0990 0.2500 0.0000
Ni 0.0990 0.2500 0.5000
Ni 0.3431 0.7500 0.0000
Ni 0.3431 0.7500 0.5000
Ni 0.6569 0.2500 0.0000
Ni 0.6569 0.2500 0.5000
Ni 0.9010 0.7500 0.0000
Ni 0.9010 0.7500 0.5000
Sn 0.3791 0.0918 0.2500
Sn 0.3791 0.4082 0.7500
Sn 0.6209 0.5918 0.2500
Sn 0.6209 0.9082 0.7500
As 0.1246 0.5658 0.2500
As 0.1246 0.9342 0.7500
As 0.8754 0.0658 0.2500
As 0.8754 0.4342 0.7500

The 12 most intense peaks (5 to 70 degrees two-theta), by angle:
32.1 deg, d = 2.786 Å, I = 49.2
32.6 deg, d = 2.746 Å, I = 100.0
44.7 deg, d = 2.025 Å, I = 37.1
45.1 deg, d = 2.010 Å, I = 64.7
47.7 deg, d = 1.905 Å, I = 56.8
48.7 deg, d = 1.868 Å, I = 23.5
58.4 deg, d = 1.580 Å, I = 8.9
59.6 deg, d = 1.551 Å, I = 17.0
61.1 deg, d = 1.516 Å, I = 8.0
61.4 deg, d = 1.509 Å, I = 19.6
67.2 deg, d = 1.393 Å, I = 9.4
68.3 deg, d = 1.373 Å, I = 14.8

Record 3
The following is a calculated powder diffraction line list of NpTl2CuBr6. It was derived from a structure optimized by DFT (PBE), using λ = 1.5418 Å (Cu Kα).

Cell and atoms:
Lattice parameters (Å, degrees): 8.4407 8.4407 6.7373 108.04 108.04 53.15
Atoms (fractional coordinates):
Np 0.0000 0.0000 0.0000
Tl 0.2560 0.2560 0.8137
Tl 0.7440 0.7440 0.1863
Cu 0.5000 0.5000 0.5000
Br 0.1918 0.1918 0.2906
Br 0.1924 0.6622 0.2194
Br 0.3378 0.8076 0.7806
Br 0.6622 0.1924 0.2194
Br 0.8076 0.3378 0.7806
Br 0.8082 0.8082 0.7094

The 12 most intense peaks (5 to 70 degrees two-theta), by angle:
14.0 deg, d = 6.321 Å, I = 36.3
20.9 deg, d = 4.253 Å, I = 58.9
22.5 deg, d = 3.946 Å, I = 100.0
23.6 deg, d = 3.776 Å, I = 28.4
25.1 deg, d = 3.541 Å, I = 33.0
28.2 deg, d = 3.165 Å, I = 30.7
30.5 deg, d = 2.935 Å, I = 36.9
33.0 deg, d = 2.714 Å, I = 28.4
34.7 deg, d = 2.583 Å, I = 46.6
35.8 deg, d = 2.506 Å, I = 58.7
42.5 deg, d = 2.127 Å, I = 27.2
43.7 deg, d = 2.073 Å, I = 28.7

Record 4
The following is a calculated powder diffraction line list of AcSm2TmSb4. It was derived from a structure optimized by DFT (PBE), using λ = 1.5418 Å (Cu Kα).

Cell and atoms:
Lattice parameters (Å, degrees): 7.8337 4.5308 7.8480 90.00 109.41 90.00
Atoms (fractional coordinates):
Ac 0.0000 0.0000 0.0000
Sm 0.0000 0.5000 0.5000
Sm 0.5000 0.0000 0.5000
Tm 0.5000 0.5000 0.0000
Sb 0.2619 0.0000 0.7502
Sb 0.2651 0.5000 0.2590
Sb 0.7349 0.5000 0.7410
Sb 0.7381 0.0000 0.2498

The 12 most intense peaks (5 to 70 degrees two-theta), by angle:
23.0 deg, d = 3.862 Å, I = 1.4
24.1 deg, d = 3.698 Å, I = 5.7
27.9 deg, d = 3.202 Å, I = 100.0
30.4 deg, d = 2.939 Å, I = 1.5
39.8 deg, d = 2.264 Å, I = 76.8
47.1 deg, d = 1.931 Å, I = 3.1
49.3 deg, d = 1.849 Å, I = 27.5
55.1 deg, d = 1.668 Å, I = 0.9
57.6 deg, d = 1.601 Å, I = 12.9
63.3 deg, d = 1.470 Å, I = 1.3
65.1 deg, d = 1.432 Å, I = 29.5
65.2 deg, d = 1.431 Å, I = 5.7

Record 5
The following is a calculated powder diffraction line list of Hg3Cl2O2. It was derived from a structure optimized by DFT (PBE), using λ = 1.5418 Å (Cu Kα).

Cell and atoms:
Lattice parameters (Å, degrees): 6.4838 7.0983 6.9614 90.00 113.75 90.00
Atoms (fractional coordinates):
Hg 0.0000 0.0000 0.0000
Hg 0.0000 0.5000 0.5000
Hg 0.4227 0.1367 0.7624
Hg 0.4227 0.3633 0.2624
Hg 0.5773 0.6367 0.7376
Hg 0.5773 0.8633 0.2376
Cl 0.2202 0.6249 0.9603
Cl 0.2202 0.8751 0.4603
Cl 0.7798 0.1249 0.5397
Cl 0.7798 0.3751 0.0397
O 0.3251 0.1037 0.0607
O 0.3251 0.3963 0.5607
O 0.6749 0.6037 0.4393
O 0.6749 0.8963 0.9393

The 12 most intense peaks (5 to 70 degrees two-theta), by angle:
14.9 deg, d = 5.935 Å, I = 27.3
18.7 deg, d = 4.742 Å, I = 50.9
25.9 deg, d = 3.444 Å, I = 82.0
27.4 deg, d = 3.259 Å, I = 37.5
28.8 deg, d = 3.100 Å, I = 100.0
29.3 deg, d = 3.046 Å, I = 28.7
30.4 deg, d = 2.943 Å, I = 88.4
32.7 deg, d = 2.738 Å, I = 28.9
35.2 deg, d = 2.551 Å, I = 58.8
37.0 deg, d = 2.429 Å, I = 44.8
41.0 deg, d = 2.203 Å, I = 42.2
50.4 deg, d = 1.810 Å, I = 31.0

Record 6
The following is a calculated powder diffraction line list of RbAg4Sb2. It was derived from a structure optimized by DFT (PBE), using λ = 1.5418 Å (Cu Kα).

Cell and atoms:
Lattice parameters (Å, degrees): 8.3535 8.3535 4.8390 90.00 90.00 146.67
Atoms (fractional coordinates):
Rb 0.0000 0.0000 0.0000
Ag 0.1979 0.8021 0.5000
Ag 0.3053 0.6947 0.0000
Ag 0.6947 0.3053 0.0000
Ag 0.8021 0.1979 0.5000
Sb 0.3929 0.6071 0.5000
Sb 0.6071 0.3929 0.5000

The 12 most intense peaks (5 to 70 degrees two-theta), by angle:
11.1 deg, d = 8.003 Å, I = 57.7
25.0 deg, d = 3.565 Å, I = 16.1
29.0 deg, d = 3.084 Å, I = 23.0
31.2 deg, d = 2.870 Å, I = 61.3
33.7 deg, d = 2.662 Å, I = 21.5
37.2 deg, d = 2.419 Å, I = 43.3
37.5 deg, d = 2.396 Å, I = 42.1
38.6 deg, d = 2.333 Å, I = 100.0
47.9 deg, d = 1.898 Å, I = 21.8
53.9 deg, d = 1.702 Å, I = 28.6
67.9 deg, d = 1.380 Å, I = 17.7
68.5 deg, d = 1.371 Å, I = 15.7

Record 7
The following is a calculated powder diffraction line list of Sm4Y2HoTm2. It was derived from a structure optimized by DFT (PBE), using λ = 1.5418 Å (Cu Kα).

Cell and atoms:
Lattice parameters (Å, degrees): 7.9947 7.9947 7.9935 107.44 107.44 36.80
Atoms (fractional coordinates):
Sm 0.0549 0.0549 0.3299
Sm 0.2780 0.2780 0.6690
Sm 0.7220 0.7220 0.3310
Sm 0.9451 0.9451 0.6701
Y 0.3883 0.3883 0.3307
Y 0.6117 0.6117 0.6693
Ho 0.5000 0.5000 0.0000
Tm 0.1671 0.1671 0.0002
Tm 0.8329 0.8329 0.9998

The 12 most intense peaks (5 to 70 degrees two-theta), by angle:
11.7 deg, d = 7.584 Å, I = 1.9
14.0 deg, d = 6.310 Å, I = 1.0
18.6 deg, d = 4.763 Å, I = 0.9
21.0 deg, d = 4.238 Å, I = 0.8
25.6 deg, d = 3.477 Å, I = 1.0
30.6 deg, d = 2.918 Å, I = 100.0
35.5 deg, d = 2.527 Å, I = 50.5
38.9 deg, d = 2.312 Å, I = 0.6
51.1 deg, d = 1.787 Å, I = 35.8
60.8 deg, d = 1.524 Å, I = 35.4
60.8 deg, d = 1.522 Å, I = 7.1
63.8 deg, d = 1.459 Å, I = 12.2

Record 8
The following is a calculated powder diffraction line list of Cd2InSe. It was derived from a structure optimized by DFT (PBE), using λ = 1.5418 Å (Cu Kα).

Cell and atoms:
Lattice parameters (Å, degrees): 5.6958 5.6958 5.6958 140.08 115.39 78.71
Atoms (fractional coordinates):
Cd 0.2338 0.2338 0.0000
Cd 0.7662 0.7662 0.0000
In 0.5000 0.0000 0.5000
Se 0.0000 0.5000 0.5000

The 12 most intense peaks (5 to 70 degrees two-theta), by angle:
25.0 deg, d = 3.558 Å, I = 2.3
29.3 deg, d = 3.044 Å, I = 38.2
33.9 deg, d = 2.645 Å, I = 3.2
34.1 deg, d = 2.629 Å, I = 100.0
41.0 deg, d = 2.202 Å, I = 13.9
46.7 deg, d = 1.945 Å, I = 10.3
51.2 deg, d = 1.784 Å, I = 14.2
55.1 deg, d = 1.665 Å, I = 24.2
56.1 deg, d = 1.639 Å, I = 11.7
60.9 deg, d = 1.522 Å, I = 4.5
63.9 deg, d = 1.458 Å, I = 7.1
65.8 deg, d = 1.419 Å, I = 1.7

Record 9
The following is a calculated powder diffraction line list of Pm3Nd4Y5. It was derived from a structure optimized by DFT (PBE), using λ = 1.5418 Å (Cu Kα).

Cell and atoms:
Lattice parameters (Å, degrees): 6.2866 7.2510 8.8809 90.11 90.13 90.04
Atoms (fractional coordinates):
Pm 0.0000 0.0000 0.0000
Pm 0.1675 0.7510 0.6686
Pm 0.8325 0.2490 0.3314
Nd 0.1675 0.2496 0.6688
Nd 0.3309 0.5001 0.3331
Nd 0.6691 0.4999 0.6669
Nd 0.8325 0.7504 0.3312
Y 0.0000 0.5000 0.0000
Y 0.3327 0.0002 0.3315
Y 0.5003 0.2487 0.0003
Y 0.4997 0.7513 0.9997
Y 0.6673 0.9998 0.6685

The 12 most intense peaks (5 to 70 degrees two-theta), by angle:
10.0 deg, d = 8.881 Å, I = 1.3
14.1 deg, d = 6.287 Å, I = 0.8
15.8 deg, d = 5.617 Å, I = 1.3
30.2 deg, d = 2.961 Å, I = 100.0
35.0 deg, d = 2.567 Å, I = 33.7
35.0 deg, d = 2.560 Å, I = 16.7
50.3 deg, d = 1.814 Å, I = 29.7
50.4 deg, d = 1.811 Å, I = 6.0
59.8 deg, d = 1.547 Å, I = 28.2
59.9 deg, d = 1.545 Å, I = 14.0
62.7 deg, d = 1.481 Å, I = 6.1
62.8 deg, d = 1.480 Å, I = 6.0

Record 10
The following is a calculated powder diffraction line list of Ac2NpAsO8. It was derived from a structure optimized by DFT (PBE), using λ = 1.5418 Å (Cu Kα).

Cell and atoms:
Lattice parameters (Å, degrees): 5.6480 5.6480 6.2336 90.00 90.00 120.00
Atoms (fractional coordinates):
Ac 0.3333 0.6667 0.3545
Ac 0.6667 0.3333 0.6455
Np 0.0000 0.0000 0.0000
As 0.0000 0.0000 0.5000
O 0.1493 0.2986 0.6845
O 0.1493 0.8507 0.6845
O 0.2986 0.1493 0.3155
O 0.3333 0.6667 0.0123
O 0.6667 0.3333 0.9877
O 0.7014 0.8507 0.6845
O 0.8507 0.1493 0.3155
O 0.8507 0.7014 0.3155

The 12 most intense peaks (5 to 70 degrees two-theta), by angle:
23.1 deg, d = 3.848 Å, I = 100.0
31.7 deg, d = 2.824 Å, I = 89.7
34.1 deg, d = 2.629 Å, I = 59.7
39.6 deg, d = 2.277 Å, I = 39.8
43.6 deg, d = 2.078 Å, I = 10.3
47.2 deg, d = 1.924 Å, I = 34.1
51.6 deg, d = 1.772 Å, I = 25.3
54.9 deg, d = 1.674 Å, I = 22.3
56.4 deg, d = 1.630 Å, I = 17.7
58.0 deg, d = 1.590 Å, I = 28.6
62.6 deg, d = 1.485 Å, I = 12.6
66.2 deg, d = 1.412 Å, I = 13.9

Record 11
The following is a calculated powder diffraction line list of Hf8As3P2. It was derived from a structure optimized by DFT (PBE), using λ = 1.5418 Å (Cu Kα).

Cell and atoms:
Lattice parameters (Å, degrees): 7.3048 7.3048 6.2488 102.47 102.47 59.11
Atoms (fractional coordinates):
Hf 0.0985 0.0985 0.3550
Hf 0.1094 0.6454 0.1008
Hf 0.3508 0.3508 0.5850
Hf 0.3546 0.8906 0.8992
Hf 0.6454 0.1094 0.1008
Hf 0.6492 0.6492 0.4150
Hf 0.8906 0.3546 0.8992
Hf 0.9015 0.9015 0.6450
As 0.2728 0.7272 0.5000
As 0.5000 0.5000 0.0000
As 0.7272 0.2728 0.5000
P 0.2518 0.2518 0.1586
P 0.7482 0.7482 0.8414

The 12 most intense peaks (5 to 70 degrees two-theta), by angle:
28.8 deg, d = 3.096 Å, I = 71.2
29.0 deg, d = 3.078 Å, I = 51.6
29.5 deg, d = 3.030 Å, I = 75.4
30.6 deg, d = 2.919 Å, I = 100.0
34.0 deg, d = 2.635 Å, I = 29.2
36.2 deg, d = 2.483 Å, I = 65.9
38.5 deg, d = 2.336 Å, I = 89.4
44.0 deg, d = 2.056 Å, I = 44.7
46.9 deg, d = 1.936 Å, I = 31.9
50.7 deg, d = 1.800 Å, I = 82.3
59.7 deg, d = 1.549 Å, I = 25.8
63.8 deg, d = 1.458 Å, I = 22.3

Record 12
The following is a calculated powder diffraction line list of TlHgBi2Pb5. It was derived from a structure optimized by DFT (PBE), using λ = 1.5418 Å (Cu Kα).

Cell and atoms:
Lattice parameters (Å, degrees): 9.7919 9.7919 13.8106 90.00 90.00 153.19
Atoms (fractional coordinates):
Tl 0.2472 0.7528 0.5000
Tl 0.7528 0.2472 0.0000
Hg 0.1128 0.8872 0.9574
Hg 0.8872 0.1128 0.4574
Bi 0.3544 0.6456 0.1513
Bi 0.4017 0.5983 0.8247
Bi 0.5983 0.4017 0.3247
Bi 0.6456 0.3544 0.6513
Pb 0.0300 0.9700 0.7605
Pb 0.0675 0.9325 0.4961
Pb 0.1743 0.8257 0.1768
Pb 0.2213 0.7787 0.7906
Pb 0.4555 0.5445 0.5961
Pb 0.5445 0.4555 0.0961
Pb 0.7787 0.2213 0.2906
Pb 0.8257 0.1743 0.6768
Pb 0.9325 0.0675 0.9961
Pb 0.9700 0.0300 0.2605

The 12 most intense peaks (5 to 70 degrees two-theta), by angle:
28.0 deg, d = 3.187 Å, I = 78.6
31.0 deg, d = 2.884 Å, I = 30.4
31.3 deg, d = 2.855 Å, I = 100.0
32.0 deg, d = 2.795 Å, I = 17.2
32.9 deg, d = 2.720 Å, I = 59.3
33.3 deg, d = 2.688 Å, I = 45.0
34.3 deg, d = 2.614 Å, I = 41.6
39.7 deg, d = 2.270 Å, I = 43.6
51.2 deg, d = 1.784 Å, I = 17.9
53.5 deg, d = 1.714 Å, I = 24.2
58.6 deg, d = 1.576 Å, I = 16.4
61.5 deg, d = 1.507 Å, I = 14.7